The following is a theoretical powder diffraction line list of ZnFe5O7. It was derived from a structure optimized by DFT (PBE+U), using Cu Kα (λ = 1.5418 Å).
Intensities are scaled so that the largest is 100.

Cell and atoms:
```
26
Lattice="1.494 -5.111 0.000 1.494 5.111 0.000 0.000 0.000 18.272" Properties=species:S:1:pos:R:3 pbc="T T T"
Zn 1.494 2.930 13.704
Zn 1.494 -2.930 4.568
Fe 0.000 0.000 0.000
Fe 0.000 0.000 9.136
Fe 1.494 2.343 1.418
Fe 1.494 2.343 7.718
Fe 1.494 0.344 12.062
Fe 1.494 0.344 15.346
Fe 1.494 -0.344 2.926
Fe 1.494 -0.344 6.210
Fe 1.494 -2.343 10.553
Fe 1.494 -2.343 16.854
O 1.494 4.133 10.932
O 1.494 4.133 16.476
O 1.494 3.243 3.129
O 1.494 3.243 6.007
O 1.494 1.542 9.775
O 1.494 1.542 17.633
O 1.494 0.775 4.568
O 1.494 -0.775 13.704
O 1.494 -1.542 0.639
O 1.494 -1.542 8.497
O 1.494 -3.243 12.265
O 1.494 -3.243 15.143
O 1.494 -4.133 1.796
O 1.494 -4.133 7.340
```

Main lines, sorted by position (10 to 80 degrees two-theta):
d/Å, Position (°2θ), I/Imax
2.616, 34.28, 100
2.595, 34.57, 43
2.555, 35.12, 27
2.325, 38.74, 23
2.181, 41.39, 61
2.108, 42.91, 59
1.657, 55.45, 23
1.583, 58.30, 20
1.494, 62.13, 19
1.298, 72.90, 28